Simulated powder XRD pattern
Compound: PmMnTcP2
Radiation: a wavelength of 1.5418 Å
Structure: a PBE-relaxed structure
Intensities are scaled so that the largest is 100.

The 8 most intense peaks (10 to 90 degrees two-theta), by angle:
| Position (°2θ) | intensity |
| --- | --- |
| 23.9 | 43 |
| 34.8 | 52 |
| 35.6 | 18 |
| 36.3 | 100 |
| 45.2 | 40 |
| 58.3 | 23 |
| 64.4 | 21 |
| 77.6 | 21 |

Crystal structure
Cell lengths 4.0108, 4.0108, 10.0995 Å; angles 90.00, 90.00, 90.00 degrees
Space group I-4m2 (No. 119)
Symmetry-distinct sites (fractional):
Pm: 0.0000 0.0000 0.0000 (multiplicity 2)
Mn: 0.0000 0.5000 0.7500 (multiplicity 2)
Tc: 0.0000 0.5000 0.2500 (multiplicity 2)
P: 0.0000 0.0000 0.3666 (multiplicity 4)

***

Simulated powder XRD pattern
Compound: RbMnP2Pt4
Radiation: a wavelength of 1.5418 Å
Structure: a PBE-relaxed structure
Intensities are scaled so that the largest is 100.

The 8 most intense peaks (10 to 90 degrees two-theta), by angle:
| Position (°2θ) | intensity |
| --- | --- |
| 17.5 | 37 |
| 26.4 | 78 |
| 31.4 | 55 |
| 32.7 | 55 |
| 36.2 | 60 |
| 41.5 | 100 |
| 45.1 | 62 |
| 53.0 | 48 |

Crystal structure
Cell lengths 4.0246, 4.0246, 10.1406 Å; angles 90.00, 90.00, 90.00 degrees
Space group P4/mmm (No. 123)
Symmetry-distinct sites (fractional):
Rb: 0.0000 0.0000 0.0000 (multiplicity 1)
Mn: 0.0000 0.0000 0.5000 (multiplicity 1)
P: 0.5000 0.5000 0.2114 (multiplicity 2)
Pt: 0.0000 0.5000 0.3304 (multiplicity 4)

***

Please write out number 2 again, unchanged.
Simulated powder XRD pattern
Compound: RbMnP2Pt4
Radiation: a wavelength of 1.5418 Å
Structure: a PBE-relaxed structure
Intensities are scaled so that the largest is 100.

The 8 most intense peaks (10 to 90 degrees two-theta), by angle:
| Position (°2θ) | intensity |
| --- | --- |
| 17.5 | 37 |
| 26.4 | 78 |
| 31.4 | 55 |
| 32.7 | 55 |
| 36.2 | 60 |
| 41.5 | 100 |
| 45.1 | 62 |
| 53.0 | 48 |

Crystal structure
Cell lengths 4.0246, 4.0246, 10.1406 Å; angles 90.00, 90.00, 90.00 degrees
Space group P4/mmm (No. 123)
Symmetry-distinct sites (fractional):
Rb: 0.0000 0.0000 0.0000 (multiplicity 1)
Mn: 0.0000 0.0000 0.5000 (multiplicity 1)
P: 0.5000 0.5000 0.2114 (multiplicity 2)
Pt: 0.0000 0.5000 0.3304 (multiplicity 4)

***

Repeat the first record exactly.
Simulated powder XRD pattern
Compound: PmMnTcP2
Radiation: a wavelength of 1.5418 Å
Structure: a PBE-relaxed structure
Intensities are scaled so that the largest is 100.

The 8 most intense peaks (10 to 90 degrees two-theta), by angle:
| Position (°2θ) | intensity |
| --- | --- |
| 23.9 | 43 |
| 34.8 | 52 |
| 35.6 | 18 |
| 36.3 | 100 |
| 45.2 | 40 |
| 58.3 | 23 |
| 64.4 | 21 |
| 77.6 | 21 |

Crystal structure
Cell lengths 4.0108, 4.0108, 10.0995 Å; angles 90.00, 90.00, 90.00 degrees
Space group I-4m2 (No. 119)
Symmetry-distinct sites (fractional):
Pm: 0.0000 0.0000 0.0000 (multiplicity 2)
Mn: 0.0000 0.5000 0.7500 (multiplicity 2)
Tc: 0.0000 0.5000 0.2500 (multiplicity 2)
P: 0.0000 0.0000 0.3666 (multiplicity 4)

***

> Number 2 is which compound?

RbMnP2Pt4